The following is a calculated powder diffractogram of LiS2NO4F2. It was derived from a crystal structure in Alexandria, relaxed with GGA-PBE, using copper Kα.
Intensities are scaled so that the largest is 100.

Most intense lines, 10° ≤ 2θ ≤ 90°, low angle first:
two_theta, Rel. int.
20.05, 10
21.21, 100
27.63, 19
28.93, 15
30.84, 4
35.80, 5
40.43, 8
40.74, 5

```
LiS2NO4F2
1.0
8.858 0.000 0.000
-4.429 7.671 0.000
0.000 0.000 12.912
Li S N O F
6 12 6 24 12
Direct
0.333 0.667 0.017
0.333 0.667 0.250
0.333 0.667 0.483
0.667 0.333 0.517
0.667 0.333 0.750
0.667 0.333 0.983
0.024 0.659 0.643
0.024 0.659 0.857
0.341 0.365 0.643
0.341 0.365 0.857
0.365 0.024 0.143
0.365 0.024 0.357
0.635 0.976 0.643
0.635 0.976 0.857
0.659 0.635 0.143
0.659 0.635 0.357
0.976 0.341 0.143
0.976 0.341 0.357
0.120 0.712 0.750
0.288 0.409 0.750
0.409 0.120 0.250
0.591 0.880 0.750
0.712 0.591 0.250
0.880 0.288 0.250
0.134 0.510 0.139
0.134 0.510 0.361
0.150 0.701 0.562
0.150 0.701 0.938
0.299 0.449 0.562
0.299 0.449 0.938
0.376 0.866 0.139
0.376 0.866 0.361
0.449 0.150 0.062
0.449 0.150 0.438
0.490 0.624 0.139
0.490 0.624 0.361
0.510 0.376 0.639
0.510 0.376 0.861
0.551 0.850 0.562
0.551 0.850 0.938
0.624 0.134 0.639
0.624 0.134 0.861
0.701 0.551 0.062
0.701 0.551 0.438
0.850 0.299 0.062
0.850 0.299 0.438
0.866 0.490 0.639
0.866 0.490 0.861
0.044 0.206 0.127
0.044 0.206 0.373
0.162 0.956 0.127
0.162 0.956 0.373
0.206 0.162 0.627
0.206 0.162 0.873
0.794 0.838 0.127
0.794 0.838 0.373
0.838 0.044 0.627
0.838 0.044 0.873
0.956 0.794 0.627
0.956 0.794 0.873
```

***

The following is a calculated powder diffractogram of Ac4GaSe2Cl. It was derived from a crystal structure in Alexandria, relaxed with GGA-PBE, using copper Kα.
Intensities are scaled so that the largest is 100.

Most intense lines, 10° ≤ 2θ ≤ 90°, low angle first:
two_theta, Rel. int.
24.25, 80
27.80, 52
28.20, 100
40.01, 79
40.31, 39
47.60, 28
49.67, 42
73.09, 27

```
Ac4GaSe2Cl
1.0
6.328 0.000 0.000
0.000 6.328 0.000
0.000 0.000 12.838
Ac Ga Se Cl
8 2 4 2
Direct
0.000 0.000 0.245
0.000 0.000 0.755
0.000 0.500 0.000
0.000 0.500 0.500
0.500 0.000 0.000
0.500 0.000 0.500
0.500 0.500 0.255
0.500 0.500 0.745
0.000 0.000 0.000
0.500 0.500 0.500
0.000 0.500 0.250
0.000 0.500 0.750
0.500 0.000 0.250
0.500 0.000 0.750
0.000 0.000 0.500
0.500 0.500 0.000
```

***

The following is a calculated powder diffractogram of Pm8Tl4Pb3. It was derived from a crystal structure in Alexandria, relaxed with GGA-PBE, using copper Kα.
Intensities are scaled so that the largest is 100.

Most intense lines, 10° ≤ 2θ ≤ 90°, low angle first:
two_theta, Rel. int.
27.92, 69
29.70, 86
29.81, 85
33.47, 72
41.26, 100
44.12, 41
50.33, 20
66.25, 25

```
Pm8Tl4Pb3
1.0
6.455 -6.392 0.000
6.455 6.392 0.000
-4.049 0.000 6.016
Pm Tl Pb
8 4 3
Direct
0.165 0.835 0.000
0.245 0.245 0.999
0.249 0.249 0.501
0.252 0.748 0.500
0.748 0.252 0.500
0.751 0.751 0.499
0.755 0.755 0.001
0.835 0.165 0.000
0.000 0.500 0.000
0.500 0.000 0.000
0.500 0.500 0.000
0.500 0.500 0.500
0.000 0.000 0.500
0.000 0.500 0.500
0.500 0.000 0.500
```

***

The following is a calculated powder diffractogram of Nb5Re4W. It was derived from a crystal structure in Alexandria, relaxed with GGA-PBE, using copper Kα.
Intensities are scaled so that the largest is 100.

Most intense lines, 10° ≤ 2θ ≤ 90°, low angle first:
two_theta, Rel. int.
27.75, 12
39.65, 100
49.09, 4
57.18, 6
57.39, 11
71.86, 11
72.00, 23
85.37, 7

```
Nb5Re4W
1.0
3.211 0.000 0.000
0.000 3.211 0.000
0.000 0.000 16.109
Nb Re W
5 4 1
Direct
0.000 0.000 0.000
0.000 0.000 0.199
0.000 0.000 0.399
0.000 0.000 0.601
0.000 0.000 0.801
0.500 0.500 0.100
0.500 0.500 0.299
0.500 0.500 0.701
0.500 0.500 0.900
0.500 0.500 0.500
```

***

The following is a calculated powder diffractogram of ThSc2Mn9. It was derived from a crystal structure in Alexandria, relaxed with GGA-PBE, using copper Kα.
Intensities are scaled so that the largest is 100.

Most intense lines, 10° ≤ 2θ ≤ 90°, low angle first:
two_theta, Rel. int.
10.90, 44
26.54, 35
34.67, 45
36.31, 35
42.56, 43
42.81, 100
44.67, 23
69.81, 22

```
ThSc2Mn9
1.0
4.948 0.000 0.000
-2.474 4.285 0.000
0.000 0.000 16.227
Th Sc Mn
2 4 18
Direct
0.333 0.667 0.250
0.667 0.333 0.750
0.333 0.667 0.035
0.333 0.667 0.465
0.667 0.333 0.535
0.667 0.333 0.965
0.000 0.000 0.000
0.000 0.000 0.250
0.000 0.000 0.500
0.000 0.000 0.750
0.170 0.341 0.621
0.170 0.341 0.879
0.170 0.830 0.621
0.170 0.830 0.879
0.333 0.667 0.750
0.341 0.170 0.121
0.341 0.170 0.379
0.659 0.830 0.621
0.659 0.830 0.879
0.667 0.333 0.250
0.830 0.170 0.121
0.830 0.170 0.379
0.830 0.659 0.121
0.830 0.659 0.379
```

***

The following is a calculated powder diffractogram of Na10CaSn12. It was derived from a crystal structure in Alexandria, relaxed with GGA-PBE, using copper Kα.
Intensities are scaled so that the largest is 100.

Most intense lines, 10° ≤ 2θ ≤ 90°, low angle first:
two_theta, Rel. int.
11.11, 30
19.30, 100
27.43, 24
29.67, 32
33.76, 52
37.45, 76
40.85, 47
57.88, 26

```
Na10CaSn12
1.0
-5.632 5.632 5.632
5.632 -5.632 5.632
5.632 5.632 -5.632
Na Ca Sn
10 1 12
Direct
0.000 0.000 0.385
0.000 0.385 0.000
0.250 0.500 0.750
0.250 0.750 0.500
0.385 0.000 0.000
0.500 0.250 0.750
0.500 0.750 0.250
0.615 0.615 0.615
0.750 0.250 0.500
0.750 0.500 0.250
0.000 0.000 0.000
0.000 0.628 0.811
0.000 0.811 0.628
0.183 0.372 0.372
0.189 0.189 0.817
0.189 0.817 0.189
0.372 0.183 0.372
0.372 0.372 0.183
0.628 0.000 0.811
0.628 0.811 0.000
0.811 0.000 0.628
0.811 0.628 0.000
0.817 0.189 0.189
```

***

The following is a calculated powder diffractogram of Tb3Co. It was derived from a crystal structure in Alexandria, relaxed with GGA-PBE, using copper Kα.
Intensities are scaled so that the largest is 100.

Most intense lines, 10° ≤ 2θ ≤ 90°, low angle first:
two_theta, Rel. int.
27.45, 36
31.01, 84
31.65, 94
33.15, 47
34.99, 33
35.40, 100
36.60, 28
53.02, 29

```
Tb3Co
1.0
-5.733 5.733 3.085
5.733 -5.733 3.085
5.733 5.733 -3.085
Tb Co
12 4
Direct
0.000 0.359 0.359
0.000 0.641 0.641
0.109 0.512 0.000
0.157 0.157 0.809
0.349 0.349 0.191
0.359 0.000 0.359
0.488 0.488 0.598
0.512 0.109 0.000
0.641 0.000 0.641
0.651 0.843 0.000
0.843 0.651 0.000
0.891 0.891 0.402
0.208 0.500 0.708
0.500 0.208 0.708
0.500 0.792 0.292
0.792 0.500 0.292
```

***

The following is a calculated powder diffractogram of Ho2Cd3Au. It was derived from a crystal structure in Alexandria, relaxed with GGA-PBE, using copper Kα.
Intensities are scaled so that the largest is 100.

Most intense lines, 10° ≤ 2θ ≤ 90°, low angle first:
two_theta, Rel. int.
33.76, 100
36.71, 28
36.81, 53
50.74, 21
53.78, 9
64.22, 10
64.36, 17
66.93, 28

```
Ho2Cd3Au
1.0
3.409 0.000 0.000
0.000 4.897 0.000
0.000 0.000 8.451
Ho Cd Au
2 3 1
Direct
0.000 0.000 0.000
0.000 0.500 0.458
0.500 0.000 0.645
0.500 0.500 0.140
0.500 0.500 0.806
0.500 0.000 0.311
```